# 1
Starting from a crystal structure in Alexandria, relaxed with PBE, the powder X-ray diffraction pattern of BaHfN was computed for Cu Kα.
Lines closer than 0.1° are merged.

Main lines, sorted by position (2θ = 15–90°):
| 2θ (°) | Rel. int. |
| --- | --- |
| 27.34 | 45.7 |
| 29.90 | 41.1 |
| 30.68 | 100.0 |
| 36.47 | 42.1 |
| 40.96 | 24.3 |
| 46.18 | 52.5 |
| 53.11 | 19.9 |
| 60.76 | 19.8 |

Crystal structure
a = 13.0478 Å, b = 3.4487 Å, c = 3.4487 Å
α = 60.18°, β = 90.00°, γ = 90.00°
Atoms (fractional coordinates):
Ba  0.1268  0.0000  0.0000
Ba  0.8732  0.0000  0.0000
Hf  0.3954  0.3479  0.3479
Hf  0.6046  0.3479  0.3479
N  0.0000  0.3344  0.3344
N  0.5000  0.0172  0.0172

# 2
Starting from a crystal structure in Alexandria, relaxed with PBE, the powder X-ray diffraction pattern of BaHf3Nb was computed for Cu Kα.
Lines closer than 0.1° are merged.

Main lines, sorted by position (2θ = 15–90°):
| 2θ (°) | Rel. int. |
| --- | --- |
| 16.77 | 17.9 |
| 29.26 | 100.0 |
| 33.91 | 91.8 |
| 48.72 | 66.4 |
| 57.84 | 45.0 |
| 60.68 | 23.0 |
| 78.93 | 18.6 |
| 81.40 | 30.1 |

Crystal structure
a = 5.2869 Å, b = 5.2869 Å, c = 5.2869 Å
α = 90.00°, β = 90.00°, γ = 90.00°
Atoms (fractional coordinates):
Ba  0.0000  0.0000  0.0000
Hf  0.0000  0.5000  0.5000
Hf  0.5000  0.0000  0.5000
Hf  0.5000  0.5000  0.0000
Nb  0.5000  0.5000  0.5000

# 3
Starting from a crystal structure in Alexandria, relaxed with PBE, the powder X-ray diffraction pattern of Ba2HfO was computed for Cu Kα.
Lines closer than 0.1° are merged.

Main lines, sorted by position (2θ = 15–90°):
| 2θ (°) | Rel. int. |
| --- | --- |
| 24.64 | 100.0 |
| 25.40 | 97.6 |
| 26.92 | 56.6 |
| 29.32 | 78.8 |
| 29.72 | 86.9 |
| 31.01 | 71.2 |
| 32.32 | 59.6 |
| 49.33 | 75.7 |

Crystal structure
a = 7.4464 Å, b = 7.4464 Å, c = 7.4464 Å
α = 126.13°, β = 98.67°, γ = 105.05°
Atoms (fractional coordinates):
Ba  0.1627  0.2500  0.4127
Ba  0.5099  0.9311  0.0788
Ba  0.8373  0.7500  0.5873
Ba  0.8523  0.4311  0.9212
Hf  0.3488  0.3488  0.0000
Hf  0.3488  0.8488  0.5000
O  0.2679  0.6290  0.1389
O  0.4901  0.1290  0.8611

# 4
Starting from a crystal structure in Alexandria, relaxed with PBE, the powder X-ray diffraction pattern of BaHfSi3O9 was computed for Cu Kα.
Lines closer than 0.1° are merged.

Main lines, sorted by position (2θ = 15–90°):
| 2θ (°) | Rel. int. |
| --- | --- |
| 17.56 | 17.0 |
| 23.15 | 82.2 |
| 26.07 | 36.6 |
| 31.61 | 100.0 |
| 44.62 | 29.5 |
| 45.99 | 18.0 |
| 49.60 | 22.1 |
| 56.87 | 22.2 |

Crystal structure
a = 6.8363 Å, b = 6.8363 Å, c = 10.0986 Å
α = 90.00°, β = 90.00°, γ = 120.00°
Atoms (fractional coordinates):
Ba  0.0000  0.0000  0.0000
Ba  0.0000  0.0000  0.5000
Hf  0.3333  0.6667  0.0000
Hf  0.3333  0.6667  0.5000
Si  0.4455  0.0526  0.2500
Si  0.4455  0.3929  0.7500
Si  0.6071  0.0526  0.7500
Si  0.6071  0.5545  0.2500
Si  0.9474  0.3929  0.2500
Si  0.9474  0.5545  0.7500
O  0.0873  0.4102  0.1162
O  0.0873  0.4102  0.3839
O  0.0873  0.6771  0.6162
O  0.0873  0.6771  0.8838
O  0.3229  0.4102  0.6162
O  0.3229  0.4102  0.8838
O  0.3229  0.9127  0.1162
O  0.3229  0.9127  0.3839
O  0.4194  0.1382  0.7500
O  0.4194  0.2812  0.2500
O  0.5898  0.6771  0.1162
O  0.5898  0.6771  0.3839
O  0.5898  0.9127  0.6162
O  0.5898  0.9127  0.8838
O  0.7188  0.1382  0.2500
O  0.7188  0.5806  0.7500
O  0.8618  0.2812  0.7500
O  0.8618  0.5806  0.2500

# 5
Starting from a crystal structure in Alexandria, relaxed with PBE, the powder X-ray diffraction pattern of Ba2HfSiO6 was computed for Cu Kα.
Lines closer than 0.1° are merged.

Main lines, sorted by position (2θ = 15–90°):
| 2θ (°) | Rel. int. |
| --- | --- |
| 17.31 | 19.3 |
| 24.44 | 100.0 |
| 30.21 | 78.1 |
| 38.97 | 38.1 |
| 39.23 | 49.5 |
| 50.08 | 28.6 |
| 50.30 | 28.3 |
| 59.61 | 26.3 |

Crystal structure
a = 5.9169 Å, b = 5.9169 Å, c = 5.1794 Å
α = 90.00°, β = 90.00°, γ = 120.00°
Atoms (fractional coordinates):
Ba  0.3333  0.6667  0.1677
Ba  0.6667  0.3333  0.8323
Hf  0.0000  0.0000  0.5000
Si  0.0000  0.0000  0.0000
O  0.1441  0.2882  0.7854
O  0.1441  0.8559  0.7854
O  0.2882  0.1441  0.2146
O  0.7118  0.8559  0.7854
O  0.8559  0.1441  0.2146
O  0.8559  0.7118  0.2146

# 6
Starting from a crystal structure in Alexandria, relaxed with PBE, the powder X-ray diffraction pattern of Ba4SrHf5O15 was computed for Cu Kα.
Lines closer than 0.1° are merged.

Main lines, sorted by position (2θ = 15–90°):
| 2θ (°) | Rel. int. |
| --- | --- |
| 21.20 | 7.4 |
| 30.16 | 100.0 |
| 43.17 | 28.3 |
| 53.56 | 41.0 |
| 62.70 | 17.9 |
| 71.14 | 17.9 |
| 79.17 | 6.0 |
| 86.99 | 21.9 |

Crystal structure
a = 12.5668 Å, b = 12.5668 Å, c = 12.5668 Å
α = 27.29°, β = 27.29°, γ = 27.29°
Atoms (fractional coordinates):
Ba  0.1003  0.1003  0.1003
Ba  0.3001  0.3001  0.3001
Ba  0.6999  0.6999  0.6999
Ba  0.8997  0.8997  0.8997
Sr  0.5000  0.5000  0.5000
Hf  0.0000  0.0000  0.0000
Hf  0.1997  0.1997  0.1997
Hf  0.4005  0.4005  0.4005
Hf  0.5995  0.5995  0.5995
Hf  0.8003  0.8003  0.8003
O  0.0000  0.0000  0.5000
O  0.0000  0.5000  0.0000
O  0.1034  0.5995  0.5995
O  0.2002  0.2002  0.7001
O  0.2002  0.7001  0.2002
O  0.2999  0.7998  0.7998
O  0.4005  0.4005  0.8966
O  0.4005  0.8966  0.4005
O  0.5000  0.0000  0.0000
O  0.5995  0.1034  0.5995
O  0.5995  0.5995  0.1034
O  0.7001  0.2002  0.2002
O  0.7998  0.2999  0.7998
O  0.7998  0.7998  0.2999
O  0.8966  0.4005  0.4005

# 7
Starting from a crystal structure in Alexandria, relaxed with PBE, the powder X-ray diffraction pattern of BaHfTaO6 was computed for Cu Kα.
Lines closer than 0.1° are merged.

Main lines, sorted by position (2θ = 15–90°):
| 2θ (°) | Rel. int. |
| --- | --- |
| 24.33 | 100.0 |
| 31.44 | 90.0 |
| 34.68 | 27.0 |
| 47.50 | 66.5 |
| 49.85 | 17.4 |
| 56.22 | 18.0 |
| 60.13 | 18.3 |
| 71.32 | 17.6 |

Crystal structure
a = 5.1739 Å, b = 5.1739 Å, c = 10.2203 Å
α = 90.00°, β = 90.00°, γ = 90.00°
Atoms (fractional coordinates):
Ba  0.0000  0.0000  0.0000
Ba  0.5000  0.5000  0.5000
Hf  0.0000  0.0000  0.3315
Hf  0.5000  0.5000  0.8315
Ta  0.0000  0.0000  0.6662
Ta  0.5000  0.5000  0.1662
O  0.1586  0.1586  0.5034
O  0.2243  0.2243  0.7814
O  0.2355  0.2355  0.2107
O  0.2645  0.7355  0.7107
O  0.2757  0.7243  0.2814
O  0.3414  0.6586  0.0034
O  0.6586  0.3414  0.0034
O  0.7243  0.2757  0.2814
O  0.7355  0.2645  0.7107
O  0.7645  0.7645  0.2107
O  0.7757  0.7757  0.7814
O  0.8414  0.8414  0.5034

# 8
Starting from a crystal structure in Alexandria, relaxed with PBE, the powder X-ray diffraction pattern of BaHf3Tl2O8 was computed for Cu Kα.
Lines closer than 0.1° are merged.

Main lines, sorted by position (2θ = 15–90°):
| 2θ (°) | Rel. int. |
| --- | --- |
| 23.55 | 30.1 |
| 26.99 | 74.2 |
| 30.53 | 100.0 |
| 32.16 | 37.5 |
| 33.07 | 44.8 |
| 48.17 | 42.6 |
| 48.30 | 33.1 |
| 56.75 | 33.9 |

Crystal structure
a = 7.7683 Å, b = 7.7683 Å, c = 7.7683 Å
α = 49.37°, β = 49.37°, γ = 49.37°
Atoms (fractional coordinates):
Ba  0.0000  0.0000  0.0000
Hf  0.3750  0.3750  0.8772
Hf  0.3750  0.8772  0.3750
Hf  0.8772  0.3750  0.3750
Tl  0.3902  0.3902  0.3902
Tl  0.7579  0.7579  0.7579
O  0.1084  0.1084  0.5632
O  0.1084  0.5632  0.1084
O  0.1535  0.1535  0.1535
O  0.1882  0.6375  0.6375
O  0.5632  0.1084  0.1084
O  0.5924  0.5924  0.5924
O  0.6375  0.1882  0.6375
O  0.6375  0.6375  0.1882

> Number 3 is which compound?

Ba2HfO

> Number 1 is which compound?

BaHfN